No. 1
Diffraction record for Pm4SmTm7. The powder diffractogram is simulated, not measured: it uses a crystal structure in Alexandria, relaxed with PBE and Cu Kα.

Largest 6 diffraction maxima, low angle first, 2θ from 10° to 90°:
| (hkl) | d (Å) | I/Imax |
| --- | --- | --- |
| 1 2 2 | 2.941 | 48 |
| 2 0 -1 | 2.857 | 58 |
| 2 0 2 | 2.815 | 100 |
| 0 0 3 | 2.782 | 51 |
| 1 -2 0 | 2.746 | 44 |
| 1 -2 3 | 1.903 | 17 |

Crystal structure
```
data_Pm4SmTm7
_cell_length_a 6.8004
_cell_length_b 6.9797
_cell_length_c 8.6600
_cell_angle_alpha 78.32
_cell_angle_beta 77.38
_cell_angle_gamma 75.87
_space_group_name_H-M_alt 'P 1'
_space_group_IT_number 1
loop_
_space_group_symop_operation_xyz
'x,y,z'
loop_
_atom_site_label
_atom_site_type_symbol
_atom_site_fract_x
_atom_site_fract_y
_atom_site_fract_z
Pm1 Pm 0.1533 0.2719 0.3174
Pm2 Pm 0.3157 0.8941 0.6674
Pm3 Pm 0.6843 0.1059 0.3326
Pm4 Pm 0.8467 0.7281 0.6826
Sm1 Sm 0.5000 0.5000 0.0000
Tm1 Tm 0.0156 0.2506 0.9777
Tm2 Tm 0.1758 0.7674 0.3271
Tm3 Tm 0.3230 0.3920 0.6396
Tm4 Tm 0.5000 0.0000 0.0000
Tm5 Tm 0.6770 0.6080 0.3604
Tm6 Tm 0.8242 0.2326 0.6729
Tm7 Tm 0.9844 0.7494 0.0223
```

***

No. 2
Diffraction record for MgTc5. The powder diffractogram is simulated, not measured: it uses a crystal structure in Alexandria, relaxed with PBE and Cu Kα.

Largest 6 diffraction maxima, low angle first, 2θ from 10° to 90°:
| (hkl) | d (Å) | I/Imax |
| --- | --- | --- |
| 1 1 0 | 2.377 | 25 |
| 0 0 2 | 2.263 | 28 |
| 1 1 1 | 2.105 | 100 |
| 3 0 0 | 1.373 | 16 |
| 1 1 3 | 1.274 | 19 |
| 3 0 2 | 1.174 | 19 |

Crystal structure
```
data_MgTc5
_cell_length_a 4.7548
_cell_length_b 4.7548
_cell_length_c 4.5264
_cell_angle_alpha 90.00
_cell_angle_beta 90.00
_cell_angle_gamma 120.00
_space_group_name_H-M_alt 'P 1'
_space_group_IT_number 1
loop_
_space_group_symop_operation_xyz
'x,y,z'
loop_
_atom_site_label
_atom_site_type_symbol
_atom_site_fract_x
_atom_site_fract_y
_atom_site_fract_z
Mg1 Mg 0.0000 0.0000 0.0000
Tc1 Tc 0.0000 0.6715 0.5000
Tc2 Tc 0.3285 0.3285 0.5000
Tc3 Tc 0.3333 0.6667 0.0000
Tc4 Tc 0.6667 0.3333 0.0000
Tc5 Tc 0.6715 0.0000 0.5000
```